1.
Starting from the PBE geometry in Alexandria, the powder X-ray diffraction pattern of Ti3Te2S4 was calculated for Cu Kα.
Lines closer than 0.1° are merged.

Cell and atoms:
Cell lengths 3.4237, 3.4237, 21.1975 Å; angles 90.00, 90.00, 120.00 degrees
Positions (direct):
Ti1 0.0000 0.0000 0.0000
Ti2 0.0000 0.0000 0.3564
Ti3 0.6667 0.3333 0.6769
Te1 0.6667 0.3333 0.0919
Te2 0.6667 0.3333 0.9089
S1 0.0000 0.0000 0.6077
S2 0.0000 0.0000 0.7480
S3 0.6667 0.3333 0.2857
S4 0.6667 0.3333 0.4262

Principal peaks in the range 2θ = 15–90°, most intense first:
h k l, 2θ (°), Rel. int.
0 1 5, 37.00, 100
1 0 0, 30.14, 69
1 0 6, 39.69, 40
1 1 0, 53.53, 35
1 0 4, 34.67, 33
1 0 1, 30.44, 32
0 0 4, 16.73, 24
1 0 8, 45.93, 22

=====

2.
Starting from the PBE geometry in Alexandria, the powder X-ray diffraction pattern of Ca2CdCu3Sn4 was calculated for Cu Kα.
Lines closer than 0.1° are merged.

Cell and atoms:
Cell lengths 4.4753, 4.4753, 11.4130 Å; angles 90.00, 90.00, 90.00 degrees
Positions (direct):
Ca1 0.0000 0.5000 0.2472
Ca2 0.5000 0.0000 0.7528
Cd1 0.0000 0.0000 0.5000
Cu1 0.0000 0.5000 0.8686
Cu2 0.5000 0.0000 0.1314
Cu3 0.5000 0.5000 0.5000
Sn1 0.0000 0.0000 0.0000
Sn2 0.0000 0.5000 0.6470
Sn3 0.5000 0.0000 0.3530
Sn4 0.5000 0.5000 0.0000

Principal peaks in the range 2θ = 15–90°, most intense first:
h k l, 2θ (°), Rel. int.
1 1 2, 32.35, 100
1 1 4, 42.67, 64
2 0 0, 40.31, 63
1 0 1, 21.33, 37
0 0 2, 15.53, 28
3 1 4, 74.90, 25
1 0 5, 44.56, 23
1 0 3, 30.85, 23

=====

3.
Starting from the PBE geometry in Alexandria, the powder X-ray diffraction pattern of Ce2SiPt6 was calculated for Cu Kα.
Lines closer than 0.1° are merged.

Cell and atoms:
Cell lengths 5.7002, 5.7002, 5.8827 Å; angles 90.00, 90.00, 120.00 degrees
Positions (direct):
Ce1 0.3333 0.6667 0.3303
Ce2 0.6667 0.3333 0.6697
Si1 0.0000 0.0000 0.5000
Pt1 0.1709 0.3417 0.8019
Pt2 0.1709 0.8291 0.8019
Pt3 0.3417 0.1709 0.1981
Pt4 0.6583 0.8291 0.8019
Pt5 0.8291 0.1709 0.1981
Pt6 0.8291 0.6583 0.1981

Principal peaks in the range 2θ = 15–90°, most intense first:
h k l, 2θ (°), Rel. int.
0 2 1, 39.60, 100
0 0 2, 30.39, 27
2 0 0, 36.40, 22
2 0 2, 48.13, 20
2 2 0, 65.50, 18
0 1 2, 35.53, 17
4 0 1, 79.33, 13
2 2 2, 73.90, 13

=====

4.
Starting from the PBE geometry in Alexandria, the powder X-ray diffraction pattern of UTl2Te2O8 was calculated for Cu Kα.
Lines closer than 0.1° are merged.

Cell and atoms:
Cell lengths 5.5361, 8.5333, 21.9871 Å; angles 90.00, 102.67, 90.00 degrees
Positions (direct):
U1 0.0881 0.1785 0.3584
U2 0.0881 0.3215 0.8584
U3 0.9119 0.6785 0.1416
U4 0.9119 0.8215 0.6416
Tl1 0.0750 0.6676 0.3529
Tl2 0.0750 0.8324 0.8529
Tl3 0.3005 0.1098 0.5508
Tl4 0.3005 0.3902 0.0508
Tl5 0.6995 0.6098 0.9492
Tl6 0.6995 0.8902 0.4492
Tl7 0.9250 0.1676 0.1471
Tl8 0.9250 0.3324 0.6471
Te1 0.3311 0.5805 0.5526
Te2 0.3311 0.9195 0.0526
Te3 0.4978 0.0710 0.7300
Te4 0.4978 0.4290 0.2300
Te5 0.5022 0.5710 0.7700
Te6 0.5022 0.9290 0.2700
Te7 0.6689 0.0805 0.9474
Te8 0.6689 0.4195 0.4474
O1 0.0864 0.6749 0.6982
O2 0.0864 0.8251 0.1982
O3 0.1288 0.7472 0.0692
O4 0.1288 0.7528 0.5692
O5 0.1869 0.0044 0.6765
O6 0.1869 0.4956 0.1765
O7 0.2651 0.0388 0.4178
O8 0.2651 0.4612 0.9178
O9 0.3020 0.0987 0.2884
O10 0.3020 0.4013 0.7884
O11 0.3683 0.1296 0.8895
O12 0.3683 0.3704 0.3895
O13 0.3982 0.6550 0.4776
O14 0.3982 0.8450 0.9776
O15 0.4533 0.7254 0.8263
O16 0.4533 0.7746 0.3263
O17 0.5467 0.2254 0.6737
O18 0.5467 0.2746 0.1737
O19 0.6018 0.1550 0.0224
O20 0.6018 0.3450 0.5224
O21 0.6317 0.6296 0.6105
O22 0.6317 0.8704 0.1105
O23 0.6980 0.5987 0.2116
O24 0.6980 0.9013 0.7116
O25 0.7349 0.5388 0.0822
O26 0.7349 0.9612 0.5822
O27 0.8131 0.5044 0.8235
O28 0.8131 0.9956 0.3235
O29 0.8712 0.2472 0.4308
O30 0.8712 0.2528 0.9308
O31 0.9136 0.1749 0.8018
O32 0.9136 0.3251 0.3018

Principal peaks in the range 2θ = 15–90°, most intense first:
h k l, 2θ (°), Rel. int.
1 2 -1, 26.38, 100
1 0 -6, 26.69, 92
0 2 5, 29.52, 66
1 0 4, 25.85, 65
2 0 -2, 32.36, 32
2 2 3, 43.82, 27
2 2 -7, 44.91, 19
1 2 9, 49.90, 18

=====

What is the formula in the fourth record? UTl2Te2O8